The following is a computed powder diffractogram of K3Nd3DyTe8. It was derived from DFT lattice parameters and positions (PBE), using Cu Kα (weighted mean of Kα1 and Kα2).
Kinematic intensities with the Lorentz-polarization factor, no thermal factor.

Most intense lines, 5° ≤ 2θ ≤ 70°, in order of rising 2θ:
10.4°, I 51
26.8°, I 100
33.6°, I 20
36.4°, I 37
40.0°, I 36
48.8°, I 19

abc: 9.970 9.970 9.970
angles: 53.80 53.80 53.80
Fractional coordinates of all 15 atoms:
K: 0.000 0.500 0.500
K: 0.500 0.000 0.500
K: 0.500 0.500 0.000
Nd: 0.000 0.000 0.500
Nd: 0.000 0.500 0.000
Nd: 0.500 0.000 0.000
Dy: 0.500 0.500 0.500
Te: 0.239 0.239 0.239
Te: 0.243 0.733 0.733
Te: 0.267 0.267 0.757
Te: 0.267 0.757 0.267
Te: 0.733 0.243 0.733
Te: 0.733 0.733 0.243
Te: 0.757 0.267 0.267
Te: 0.761 0.761 0.761